This entry pairs a crystal structure of MgMn6O10F2 with its calculated X-ray diffraction stick pattern. Radiation: a wavelength of 1.5418 Å. Structure: a DFT-relaxed cell (GGA+U, the Materials Project).

Largest 10 diffraction maxima, in order of falling intensity, 10° ≤ 2θ ≤ 80°:
2θ/deg	I/Imax	hkl
23.47	100.0	-1 1 1
28.32	96.1	1 1 -1
35.11	38.2	1 -2 2
34.93	37.5	1 0 2
32.98	22.7	-1 1 2
35.71	22.3	0 1 -3
41.76	22.0	0 2 -3
62.47	20.9	2 -2 4
35.92	19.6	2 -1 1
55.60	18.9	1 2 -4

Cell and atoms:
```
19
Lattice="5.581 0.000 0.000 -2.348 5.435 0.000 -0.883 -2.794 7.050" Properties=species:S:1:pos:R:3 pbc="T T T"
Mg 0.000 0.000 0.000
Mn -0.052 1.897 2.546
Mn -0.690 2.758 5.321
Mn 3.264 -0.519 1.328
Mn 1.941 0.701 4.512
Mn 4.851 -1.360 3.532
Mn 3.386 -0.150 6.959
O -2.242 1.418 5.814
O -1.518 2.999 3.673
O 0.194 0.325 3.695
O -0.053 3.305 1.224
O 0.493 1.973 6.520
O 2.014 -0.797 5.766
O 1.362 2.466 3.771
O 3.219 -0.337 3.210
O 2.554 4.035 1.641
O 4.364 1.147 1.170
F -0.803 -1.331 5.644
F 1.623 0.532 0.991
```